Record 1
# Pu3Ga6Pt5
Calculated powder diffraction line list, a wavelength of 1.5418 Å. Input: a DFT-relaxed cell (GGA-PBE, Alexandria).
Neutral-atom scattering factors, no anomalous dispersion.

Crystal structure
```
Pu3Ga6Pt5
1.0
4.3210 0.0000 0.0000
0.0000 12.9277 0.0000
0.0000 0.0000 9.3417
Pu Ga Pt
6 12 10
direct
0.2500 0.0490 0.2495
0.2500 0.4510 0.2495
0.2500 0.7500 0.2430
0.7500 0.2500 0.7570
0.7500 0.5490 0.7505
0.7500 0.9510 0.7505
0.2500 0.0725 0.9077
0.2500 0.2500 0.0863
0.2500 0.2500 0.4549
0.2500 0.4275 0.9077
0.2500 0.5981 0.5231
0.2500 0.9019 0.5231
0.7500 0.0981 0.4769
0.7500 0.4019 0.4769
0.7500 0.5725 0.0923
0.7500 0.7500 0.5451
0.7500 0.7500 0.9137
0.7500 0.9275 0.0923
0.2500 0.0944 0.6301
0.2500 0.4056 0.6301
0.2500 0.6318 0.9639
0.2500 0.7500 0.7067
0.2500 0.8682 0.9639
0.7500 0.1318 0.0361
0.7500 0.2500 0.2933
0.7500 0.3682 0.0361
0.7500 0.5944 0.3699
0.7500 0.9056 0.3699
```

Top 10 peaks for 10 to 90 degrees two-theta, sorted by position:
| d (Å) | I/Imax |
| --- | --- |
| 3.051 | 37 |
| 2.658 | 33 |
| 2.554 | 100 |
| 2.526 | 66 |
| 2.494 | 26 |
| 2.353 | 20 |
| 2.160 | 57 |
| 2.029 | 18 |
| 1.676 | 17 |
| 1.373 | 17 |

Record 2
# PmPr7Hg2
Calculated powder diffraction line list, a wavelength of 1.5418 Å. Input: a DFT-relaxed cell (GGA-PBE, Alexandria).
Neutral-atom scattering factors, no anomalous dispersion.

Crystal structure
```
PmPr7Hg2
1.0
4.6610 -7.9796 0.0000
4.6610 7.9796 0.0000
0.0000 0.0000 5.4649
Pm Pr Hg
1 7 2
direct
0.0000 0.0000 0.0000
0.0627 0.3030 0.5000
0.2320 0.7680 0.0000
0.3030 0.0627 0.5000
0.5000 0.5000 0.5000
0.6970 0.9373 0.5000
0.7680 0.2320 0.0000
0.9373 0.6970 0.5000
0.3057 0.6943 0.5000
0.6943 0.3057 0.5000
```

Top 10 peaks for 10 to 90 degrees two-theta, sorted by position:
| d (Å) | I/Imax |
| --- | --- |
| 5.465 | 63 |
| 4.661 | 34 |
| 4.521 | 30 |
| 3.222 | 45 |
| 3.031 | 65 |
| 2.732 | 60 |
| 2.663 | 69 |
| 2.643 | 100 |
| 2.029 | 50 |
| 1.544 | 27 |

Record 3
# LiAc2Rh2
Calculated powder diffraction line list, a wavelength of 1.5418 Å. Input: a DFT-relaxed cell (GGA-PBE, Alexandria).
Neutral-atom scattering factors, no anomalous dispersion.

Crystal structure
```
LiAc2Rh2
1.0
-3.2710 6.1132 3.0636
3.2710 -6.1132 3.0636
3.2710 6.1132 -3.0636
Li Ac Rh
2 4 4
direct
0.2500 0.2500 0.0000
0.7500 0.7500 0.0000
0.1408 0.6889 0.8297
0.3592 0.1889 0.5481
0.6408 0.8111 0.4519
0.8592 0.3111 0.1703
0.1185 0.2313 0.3497
0.3815 0.7313 0.1128
0.6185 0.2687 0.8872
0.8815 0.7687 0.6503
```

Top 10 peaks for 10 to 90 degrees two-theta, sorted by position:
| d (Å) | I/Imax |
| --- | --- |
| 3.609 | 27 |
| 3.271 | 40 |
| 3.060 | 100 |
| 2.808 | 29 |
| 2.523 | 11 |
| 2.235 | 56 |
| 2.164 | 37 |
| 1.866 | 13 |
| 1.805 | 27 |
| 1.567 | 12 |

Record 4
# Tb3CePm4
Calculated powder diffraction line list, a wavelength of 1.5418 Å. Input: a DFT-relaxed cell (GGA-PBE, Alexandria).
Neutral-atom scattering factors, no anomalous dispersion.

Crystal structure
```
Tb3CePm4
1.0
23.5639 0.0000 0.0000
0.0000 3.4500 0.0000
-1.9992 0.0000 6.5785
Tb Ce Pm
6 2 8
direct
0.0000 0.0000 0.0000
0.1231 0.0000 0.3822
0.3769 0.5000 0.6178
0.5000 0.5000 0.0000
0.6231 0.5000 0.3822
0.8769 0.0000 0.6178
0.0000 0.5000 0.5000
0.5000 0.0000 0.5000
0.1227 0.0000 0.8639
0.2417 0.5000 0.7382
0.2583 0.0000 0.2618
0.3773 0.5000 0.1361
0.6227 0.5000 0.8639
0.7417 0.0000 0.7382
0.7583 0.5000 0.2618
0.8773 0.0000 0.1361
```

Top 10 peaks for 10 to 90 degrees two-theta, sorted by position:
| d (Å) | I/Imax |
| --- | --- |
| 3.410 | 20 |
| 3.084 | 25 |
| 2.935 | 100 |
| 2.818 | 44 |
| 2.740 | 16 |
| 2.705 | 43 |
| 2.421 | 15 |
| 2.317 | 17 |
| 1.649 | 17 |
| 1.487 | 26 |

Record 5
# HoZrSc6
Calculated powder diffraction line list, a wavelength of 1.5418 Å. Input: a DFT-relaxed cell (GGA-PBE, Alexandria).
Neutral-atom scattering factors, no anomalous dispersion.

Crystal structure
```
HoZrSc6
1.0
6.6687 0.0000 0.0000
-3.3343 5.7752 0.0000
0.0000 0.0000 5.1867
Ho Zr Sc
1 1 6
direct
0.0000 0.0000 0.0000
0.3333 0.6667 0.5000
0.0060 0.5030 0.0000
0.3394 0.1697 0.5000
0.4970 0.5030 0.0000
0.4970 0.9940 0.0000
0.8303 0.1697 0.5000
0.8303 0.6606 0.5000
```

Top 10 peaks for 10 to 90 degrees two-theta, sorted by position:
| d (Å) | I/Imax |
| --- | --- |
| 5.775 | 18 |
| 3.859 | 32 |
| 2.888 | 26 |
| 2.593 | 24 |
| 2.523 | 100 |
| 1.929 | 15 |
| 1.667 | 18 |
| 1.483 | 18 |
| 1.402 | 19 |
| 1.391 | 14 |

Record 6
# Ce2YS5
Calculated powder diffraction line list, a wavelength of 1.5418 Å. Input: a DFT-relaxed cell (GGA-PBE, Alexandria).
Neutral-atom scattering factors, no anomalous dispersion.

Crystal structure
```
Ce2YS5
1.0
11.8626 0.0000 0.0000
0.0000 8.0879 0.0000
0.0000 0.0000 7.4220
Ce Y S
8 4 20
direct
0.1795 0.9998 0.0148
0.1795 0.5002 0.0148
0.3205 0.0002 0.5148
0.3205 0.4998 0.5148
0.6795 0.9998 0.4852
0.6795 0.5002 0.4852
0.8205 0.0002 0.9852
0.8205 0.4998 0.9852
0.0078 0.2500 0.5742
0.4922 0.7500 0.0742
0.5078 0.2500 0.9258
0.9922 0.7500 0.4258
0.0029 0.2500 0.9627
0.1028 0.5396 0.6616
0.1028 0.9604 0.6616
0.1867 0.2500 0.3260
0.2134 0.7500 0.2978
0.2866 0.2500 0.7978
0.3133 0.7500 0.8260
0.3972 0.0396 0.1616
0.3972 0.4604 0.1616
0.4971 0.7500 0.4627
0.5029 0.2500 0.5373
0.6028 0.5396 0.8384
0.6028 0.9604 0.8384
0.6867 0.2500 0.1740
0.7134 0.7500 0.2023
0.7866 0.2500 0.7022
0.8133 0.7500 0.6740
0.8972 0.0396 0.3384
0.8972 0.4604 0.3384
0.9971 0.7500 0.0373
```

Top 10 peaks for 10 to 90 degrees two-theta, sorted by position:
| d (Å) | I/Imax |
| --- | --- |
| 3.711 | 57 |
| 3.490 | 100 |
| 3.402 | 53 |
| 3.341 | 59 |
| 2.642 | 64 |
| 2.483 | 92 |
| 2.097 | 31 |
| 2.022 | 34 |
| 1.973 | 52 |
| 1.750 | 30 |

Record 7
# PaFeMo
Calculated powder diffraction line list, a wavelength of 1.5418 Å. Input: a DFT-relaxed cell (GGA-PBE, Alexandria).
Neutral-atom scattering factors, no anomalous dispersion.

Crystal structure
```
PaFeMo
1.0
5.7404 0.0000 0.0000
0.0000 5.7404 0.0000
0.0000 0.0000 7.3109
Pa Fe Mo
4 4 4
direct
0.2181 0.2181 0.0000
0.2819 0.7181 0.2500
0.7181 0.2819 0.7500
0.7819 0.7819 0.5000
0.0247 0.9753 0.7500
0.4753 0.4753 0.5000
0.5247 0.5247 0.0000
0.9753 0.0247 0.2500
0.1834 0.1834 0.5000
0.3166 0.6834 0.7500
0.6834 0.3166 0.2500
0.8166 0.8166 0.0000
```

Top 10 peaks for 10 to 90 degrees two-theta, sorted by position:
| d (Å) | I/Imax |
| --- | --- |
| 4.515 | 28 |
| 2.870 | 30 |
| 2.716 | 100 |
| 2.567 | 21 |
| 2.422 | 20 |
| 2.101 | 16 |
| 2.030 | 20 |
| 1.828 | 13 |
| 1.695 | 20 |
| 1.626 | 21 |

Record 8
# Er2MgFe2
Calculated powder diffraction line list, a wavelength of 1.5418 Å. Input: a DFT-relaxed cell (GGA-PBE, Alexandria).
Neutral-atom scattering factors, no anomalous dispersion.

Crystal structure
```
Er2MgFe2
1.0
3.7683 0.0000 0.0000
0.0000 13.5195 0.0000
0.0000 0.0000 4.1045
Er Mg Fe
4 2 4
direct
0.0000 0.1417 0.0000
0.0000 0.8583 0.0000
0.5000 0.3583 0.0000
0.5000 0.6417 0.0000
0.0000 0.5000 0.5000
0.5000 0.0000 0.5000
0.0000 0.2858 0.5000
0.0000 0.7142 0.5000
0.5000 0.2142 0.5000
0.5000 0.7858 0.5000
```

Top 10 peaks for 10 to 90 degrees two-theta, sorted by position:
| d (Å) | I/Imax |
| --- | --- |
| 6.760 | 66 |
| 4.104 | 30 |
| 3.630 | 32 |
| 2.891 | 45 |
| 2.719 | 85 |
| 2.609 | 91 |
| 2.363 | 100 |
| 2.052 | 31 |
| 1.719 | 28 |
| 1.527 | 35 |

Record 9
# Tb8Si3Te4Se
Calculated powder diffraction line list, a wavelength of 1.5418 Å. Input: a DFT-relaxed cell (GGA-PBE, Alexandria).
Neutral-atom scattering factors, no anomalous dispersion.

Crystal structure
```
Tb8Si3Te4Se
1.0
4.2307 2.4426 7.0926
-4.2307 2.4426 7.0926
0.0000 -4.8852 7.0926
Tb Si Te Se
8 3 4 1
direct
0.2311 0.7444 0.7444
0.2402 0.2402 0.2402
0.2556 0.2556 0.7689
0.2556 0.7689 0.2556
0.7444 0.2311 0.7444
0.7444 0.7444 0.2311
0.7598 0.7598 0.7598
0.7689 0.2556 0.2556
0.0000 0.0000 0.5000
0.0000 0.5000 0.0000
0.5000 0.0000 0.0000
0.0000 0.0000 0.0000
0.0000 0.5000 0.5000
0.5000 0.0000 0.5000
0.5000 0.5000 0.0000
0.5000 0.5000 0.5000
```

Top 10 peaks for 10 to 90 degrees two-theta, sorted by position:
| d (Å) | I/Imax |
| --- | --- |
| 3.464 | 13 |
| 3.017 | 100 |
| 2.777 | 12 |
| 2.152 | 34 |
| 2.115 | 38 |
| 1.732 | 20 |
| 1.509 | 11 |
| 1.359 | 12 |
| 1.340 | 16 |
| 1.228 | 11 |

Record 10
# Rb2Li2NpO6
Calculated powder diffraction line list, a wavelength of 1.5418 Å. Input: a DFT-relaxed cell (GGA-PBE, Alexandria).
Neutral-atom scattering factors, no anomalous dispersion.

Crystal structure
```
Rb2Li2NpO6
1.0
5.5508 0.0000 0.0000
-2.7754 4.8071 0.0000
0.0000 0.0000 6.3672
Rb Li Np O
2 2 1 6
direct
0.3333 0.6667 0.0000
0.6667 0.3333 0.0000
0.3333 0.6667 0.5000
0.6667 0.3333 0.5000
0.0000 0.0000 0.5000
0.0000 0.3049 0.6688
0.0000 0.6951 0.3312
0.3049 0.0000 0.6688
0.3049 0.3049 0.3312
0.6951 0.0000 0.3312
0.6951 0.6951 0.6688
```

Top 10 peaks for 10 to 90 degrees two-theta, sorted by position:
| d (Å) | I/Imax |
| --- | --- |
| 4.807 | 18 |
| 3.837 | 100 |
| 3.184 | 13 |
| 2.775 | 29 |
| 2.249 | 22 |
| 2.092 | 38 |
| 1.942 | 14 |
| 1.747 | 22 |
| 1.591 | 11 |
| 1.381 | 20 |

Record 11
# Tm2Si9B36C
Calculated powder diffraction line list, a wavelength of 1.5418 Å. Input: a DFT-relaxed cell (GGA-PBE, Alexandria).
Neutral-atom scattering factors, no anomalous dispersion.

Crystal structure
```
Tm2Si9B36C
1.0
6.2401 -5.0541 0.0000
6.2401 5.0541 0.0000
-2.1288 0.0000 7.7047
Tm Si B C
2 9 36 1
direct
0.2493 0.7507 0.0000
0.7507 0.2493 0.0000
0.2054 0.2054 0.5434
0.5139 0.5139 0.8418
0.5167 0.9041 0.2453
0.5941 0.9844 0.7547
0.6816 0.6816 0.0713
0.8236 0.8236 0.9263
0.9041 0.5167 0.2453
0.9844 0.5941 0.7547
0.9881 0.9881 0.1628
0.0489 0.8757 0.5198
0.0522 0.2328 0.8753
0.0739 0.3607 0.0904
0.0750 0.6612 0.3931
0.1288 0.1288 0.0653
0.1288 0.6869 0.6228
0.1413 0.4311 0.9197
0.1430 0.8288 0.3239
0.2320 0.8752 0.6978
0.2328 0.0522 0.8753
0.2441 0.9531 0.5062
0.2445 0.2445 0.7962
0.2679 0.2679 0.2260
0.2682 0.5266 0.4830
0.2712 0.4515 0.1289
0.2720 0.6218 0.2998
0.3592 0.6623 0.6724
0.3607 0.0739 0.0904
0.3761 0.3761 0.9455
0.3761 0.8040 0.3741
0.4304 0.8299 0.6065
0.4311 0.1413 0.9197
0.4515 0.2712 0.1289
0.4541 0.6216 0.4774
0.5266 0.2682 0.4830
0.6218 0.2720 0.2998
0.6216 0.4541 0.4774
0.6612 0.0750 0.3931
0.6623 0.3592 0.6724
0.6869 0.1288 0.6228
0.8040 0.3761 0.3741
0.8288 0.1430 0.3239
0.8299 0.4304 0.6065
0.8752 0.2320 0.6978
0.8757 0.0489 0.5198
0.9531 0.2441 0.5062
0.3175 0.3175 0.4346
```

Top 10 peaks for 10 to 90 degrees two-theta, sorted by position:
| d (Å) | I/Imax |
| --- | --- |
| 7.705 | 100 |
| 6.014 | 57 |
| 5.054 | 44 |
| 4.226 | 41 |
| 3.869 | 46 |
| 3.725 | 91 |
| 3.002 | 65 |
| 2.581 | 38 |
| 2.524 | 49 |
| 2.297 | 49 |

Record 12
# CsTlI2Br
Calculated powder diffraction line list, a wavelength of 1.5418 Å. Input: a DFT-relaxed cell (GGA-PBE, Alexandria).
Neutral-atom scattering factors, no anomalous dispersion.

Crystal structure
```
CsTlI2Br
1.0
-4.4109 4.4109 5.9563
4.4109 -4.4109 5.9563
4.4109 4.4109 -5.9563
Cs Tl I Br
2 2 4 2
direct
0.0000 0.5000 0.5000
0.5000 0.0000 0.5000
0.2502 0.2502 0.0000
0.7502 0.7502 0.0000
0.0197 0.5197 0.0378
0.4818 0.9818 0.9622
0.5197 0.4818 0.5000
0.9818 0.0197 0.5000
0.0005 0.0005 0.0000
0.5005 0.5005 0.0000
```

Top 10 peaks for 10 to 90 degrees two-theta, sorted by position:
| d (Å) | I/Imax |
| --- | --- |
| 6.238 | 27 |
| 5.956 | 31 |
| 4.308 | 62 |
| 3.545 | 45 |
| 3.119 | 100 |
| 2.978 | 46 |
| 2.526 | 35 |
| 2.205 | 36 |
| 2.154 | 71 |
| 1.772 | 37 |